No. 1
This entry pairs a crystal structure of V6PbO11 with its calculated powder XRD pattern. Radiation: Cu Kα, 1.54184 Å. Structure: a structure optimized by DFT (GGA+U).
Intensities are scaled so that the largest is 100.

```
data_V6PbO11
_chemical_formula_sum 'V12 Pb2 O22'
_cell_length_a 5.8396
_cell_length_b 5.8396
_cell_length_c 13.1970
_cell_angle_alpha 90.00
_cell_angle_beta 90.00
_cell_angle_gamma 120.00
_space_group_name_H-M_alt 'P 63/m m c'
_space_group_IT_number 194
_space_group_name_Hall '-P 6c 2c'
loop_
_atom_site_label
_atom_site_type_symbol
_atom_site_fract_x
_atom_site_fract_y
_atom_site_fract_z
V1 V 0.0000 0.0000 0.1474
V2 V 0.0000 0.5000 0.0000
V3 V 0.3333 0.6667 0.2500
Pb1 Pb 0.3333 0.6667 0.7500
O1 O 0.1511 0.3021 0.2500
O2 O 0.1708 0.3415 0.5807
O3 O 0.3333 0.6667 0.0877
```

Main lines, sorted by position (10 to 90 degrees two-theta):
2θ = 18.8°, d = 4.722 Å, intensity 54, hkl 1 0 1; 2θ = 26.9°, d = 3.319 Å, intensity 24, hkl 1 0 3; 2θ = 27.0°, d = 3.299 Å, intensity 27, hkl 0 0 4; 2θ = 30.6°, d = 2.920 Å, intensity 52, hkl 1 1 0; 2θ = 32.4°, d = 2.763 Å, intensity 64, hkl 1 0 4; 2θ = 33.6°, d = 2.670 Å, intensity 100, hkl 1 1 2; 2θ = 38.1°, d = 2.361 Å, intensity 40, hkl 2 0 2; 2θ = 41.2°, d = 2.192 Å, intensity 45, hkl 2 0 3; 2θ = 55.4°, d = 1.660 Å, intensity 40, hkl 2 0 6; 2θ = 55.6°, d = 1.654 Å, intensity 30, hkl 2 1 4; 2θ = 56.3°, d = 1.633 Å, intensity 22, hkl 3 0 2; 2θ = 63.7°, d = 1.460 Å, intensity 29, hkl 2 2 0



No. 2
This entry pairs a crystal structure of LiFe8O12 with its calculated powder XRD pattern. Radiation: Cu Kα, 1.54184 Å. Structure: a structure optimized by DFT (GGA+U).
Intensities are scaled so that the largest is 100.

```
data_LiFe8O12
_chemical_formula_sum 'Li2 Fe16 O24'
_cell_length_a 5.9772
_cell_length_b 5.9932
_cell_length_c 13.3990
_cell_angle_alpha 77.27
_cell_angle_beta 77.34
_cell_angle_gamma 89.94
_space_group_name_H-M_alt 'P 1'
_space_group_IT_number 1
loop_
_space_group_symop_operation_xyz
'x,y,z'
loop_
_atom_site_label
_atom_site_type_symbol
_atom_site_fract_x
_atom_site_fract_y
_atom_site_fract_z
Li1 Li 0.0000 0.0000 0.0000
Li2 Li 0.4971 0.5024 0.4995
Fe1 Fe 0.0055 0.5004 0.5000
Fe2 Fe 0.1271 0.3709 0.7506
Fe3 Fe 0.1631 0.1591 0.1637
Fe4 Fe 0.2070 0.9551 0.5829
Fe5 Fe 0.3318 0.8353 0.8369
Fe6 Fe 0.3387 0.3322 0.3376
Fe7 Fe 0.3404 0.8274 0.3356
Fe8 Fe 0.4573 0.7027 0.0808
Fe9 Fe 0.5425 0.2938 0.9180
Fe10 Fe 0.6607 0.1650 0.6641
Fe11 Fe 0.6625 0.6675 0.6662
Fe12 Fe 0.6692 0.1627 0.1628
Fe13 Fe 0.7938 0.0376 0.4217
Fe14 Fe 0.8325 0.8365 0.8349
Fe15 Fe 0.8740 0.6286 0.2470
Fe16 Fe 0.9961 0.4972 0.9993
O1 O 0.0790 0.5982 0.8372
O2 O 0.0819 0.0603 0.8286
O3 O 0.0914 0.5809 0.3369
O4 O 0.1025 0.0857 0.3268
O5 O 0.2359 0.2561 0.0051
O6 O 0.2418 0.2737 0.4906
O7 O 0.2442 0.7360 0.4884
O8 O 0.2481 0.7428 0.9906
O9 O 0.4081 0.3986 0.1728
O10 O 0.4099 0.9230 0.1701
O11 O 0.4313 0.9103 0.6755
O12 O 0.4351 0.4145 0.6701
O13 O 0.5694 0.5844 0.3288
O14 O 0.5703 0.0816 0.3348
O15 O 0.5867 0.0675 0.8305
O16 O 0.5892 0.6020 0.8298
O17 O 0.7524 0.2524 0.5097
O18 O 0.7531 0.7392 0.5111
O19 O 0.7627 0.2608 0.9974
O20 O 0.7645 0.7458 0.9889
O21 O 0.8835 0.9099 0.6828
O22 O 0.9042 0.4179 0.6642
O23 O 0.9233 0.9310 0.1665
O24 O 0.9261 0.4092 0.1597
```

Main lines, sorted by position (10 to 90 degrees two-theta):
2θ = 29.8°, d = 3.000 Å, intensity 20, hkl -1 1 3; 2θ = 29.9°, d = 2.992 Å, intensity 61, hkl 1 1 4; 2θ = 35.1°, d = 2.560 Å, intensity 92, hkl 1 0 -4; 2θ = 35.1°, d = 2.553 Å, intensity 100, hkl -1 2 2; 2θ = 35.2°, d = 2.548 Å, intensity 39, hkl 2 -1 2; 2θ = 42.6°, d = 2.123 Å, intensity 14, hkl 0 0 6; 2θ = 42.7°, d = 2.116 Å, intensity 28, hkl 2 -2 0; 2θ = 56.4°, d = 1.632 Å, intensity 25, hkl 0 1 8; 2θ = 56.5°, d = 1.628 Å, intensity 39, hkl -2 3 2; 2θ = 61.7°, d = 1.503 Å, intensity 18, hkl 2 2 -4; 2θ = 61.9°, d = 1.498 Å, intensity 53, hkl 0 4 2; 2θ = 62.1°, d = 1.495 Å, intensity 34, hkl 4 0 2



No. 3
This entry pairs a crystal structure of CrSbF10 with its calculated powder XRD pattern. Radiation: Cu Kα, 1.54184 Å. Structure: a structure optimized by DFT (GGA+U).
Intensities are scaled so that the largest is 100.

```
data_CrSbF10
_chemical_formula_sum 'Cr4 Sb4 F40'
_cell_length_a 5.8197
_cell_length_b 10.5635
_cell_length_c 12.4607
_cell_angle_alpha 90.00
_cell_angle_beta 100.55
_cell_angle_gamma 90.00
_space_group_name_H-M_alt 'P 1 21/c 1'
_space_group_IT_number 14
loop_
_space_group_symop_operation_xyz
'x,y,z'
'-x,-y,-z'
'-x,y+1/2,-z+1/2'
'x,-y+1/2,z+1/2'
loop_
_atom_site_label
_atom_site_type_symbol
_atom_site_fract_x
_atom_site_fract_y
_atom_site_fract_z
Cr1 Cr 0.1765 0.2455 0.3012
Sb1 Sb 0.5000 0.0000 0.0000
Sb2 Sb 0.5000 0.0000 0.5000
F1 F 0.0212 0.6992 0.6230
F2 F 0.0278 0.1091 0.2546
F3 F 0.0789 0.1705 0.6829
F4 F 0.2340 0.5773 0.0390
F5 F 0.2532 0.0534 0.0696
F6 F 0.3046 0.1523 0.4465
F7 F 0.3293 0.6469 0.4482
F8 F 0.3573 0.0930 0.8635
F9 F 0.4277 0.5732 0.8590
F10 F 0.4468 0.2060 0.2733
```

Main lines, sorted by position (10 to 90 degrees two-theta):
2θ = 14.5°, d = 6.125 Å, intensity 23, hkl 0 0 2; 2θ = 15.5°, d = 5.721 Å, intensity 34, hkl 1 0 0; 2θ = 16.8°, d = 5.291 Å, intensity 22, hkl 0 2 0; 2θ = 17.6°, d = 5.031 Å, intensity 22, hkl 1 1 0; 2θ = 19.2°, d = 4.625 Å, intensity 81, hkl 1 0 -2; 2θ = 22.2°, d = 4.000 Å, intensity 100, hkl 0 2 2; 2θ = 22.9°, d = 3.881 Å, intensity 66, hkl 1 2 0; 2θ = 23.1°, d = 3.845 Å, intensity 16, hkl 1 0 2; 2θ = 28.7°, d = 3.108 Å, intensity 30, hkl 1 2 2; 2θ = 35.7°, d = 2.515 Å, intensity 19, hkl 1 0 4; 2θ = 38.9°, d = 2.317 Å, intensity 24, hkl 1 4 1; 2θ = 50.5°, d = 1.807 Å, intensity 24, hkl 3 2 -2



No. 4
This entry pairs a crystal structure of VPO5 with its calculated powder XRD pattern. Radiation: Cu Kα, 1.54184 Å. Structure: a structure optimized by DFT (GGA+U).
Intensities are scaled so that the largest is 100.

```
data_VPO5
_chemical_formula_sum 'V2 P2 O10'
_cell_length_a 6.2465
_cell_length_b 6.2465
_cell_length_c 4.5641
_cell_angle_alpha 90.00
_cell_angle_beta 90.00
_cell_angle_gamma 90.00
_space_group_name_H-M_alt 'P 4/n'
_space_group_IT_number 85
loop_
_space_group_symop_operation_xyz
'x,y,z'
'-x,-y,-z'
'-y+1/2,x,z'
'y+1/2,-x,-z'
'-x+1/2,-y+1/2,z'
'x+1/2,y+1/2,-z'
'y,-x+1/2,z'
'-y,x+1/2,-z'
loop_
_atom_site_label
_atom_site_type_symbol
_atom_site_fract_x
_atom_site_fract_y
_atom_site_fract_z
V1 V 0.2500 0.2500 0.1112
P1 P 0.2500 0.7500 0.0000
O1 O 0.0498 0.7331 0.8003
O2 O 0.2500 0.2500 0.7601
```

Main lines, sorted by position (10 to 90 degrees two-theta):
2θ = 19.4°, d = 4.564 Å, intensity 100, hkl 0 0 1; 2θ = 24.2°, d = 3.685 Å, intensity 37, hkl 1 0 1; 2θ = 28.6°, d = 3.123 Å, intensity 92, hkl 2 0 0; 2θ = 34.8°, d = 2.578 Å, intensity 50, hkl 2 0 1; 2θ = 42.2°, d = 2.143 Å, intensity 20, hkl 1 0 2; 2θ = 45.6°, d = 1.988 Å, intensity 13, hkl 2 2 1; 2θ = 45.9°, d = 1.975 Å, intensity 12, hkl 1 3 0; 2θ = 48.0°, d = 1.894 Å, intensity 17, hkl 3 0 1; 2θ = 59.2°, d = 1.562 Å, intensity 15, hkl 4 0 0; 2θ = 62.9°, d = 1.478 Å, intensity 13, hkl 4 0 1; 2θ = 70.5°, d = 1.336 Å, intensity 20, hkl 2 1 3; 2θ = 79.5°, d = 1.205 Å, intensity 10, hkl 1 3 3



No. 5
This entry pairs a crystal structure of ZrCrO3 with its calculated powder XRD pattern. Radiation: Cu Kα, 1.54184 Å. Structure: a structure optimized by DFT (GGA+U).
Intensities are scaled so that the largest is 100.

```
data_ZrCrO3
_chemical_formula_sum 'Zr4 Cr4 O12'
_cell_length_a 5.3824
_cell_length_b 9.3500
_cell_length_c 4.9530
_cell_angle_alpha 90.00
_cell_angle_beta 90.00
_cell_angle_gamma 90.00
_space_group_name_H-M_alt 'P n m a'
_space_group_IT_number 62
loop_
_space_group_symop_operation_xyz
'x,y,z'
'-x,-y,-z'
'-x+1/2,-y,z+1/2'
'x+1/2,y,-z+1/2'
'x+1/2,-y+1/2,-z+1/2'
'-x+1/2,y+1/2,z+1/2'
'-x,y+1/2,-z'
'x,-y+1/2,z'
loop_
_atom_site_label
_atom_site_type_symbol
_atom_site_fract_x
_atom_site_fract_y
_atom_site_fract_z
Zr1 Zr 0.0469 0.2500 0.0471
Cr1 Cr 0.0000 0.0000 0.5000
O1 O 0.1245 0.7500 0.3155
O2 O 0.2181 0.6012 0.7892
```

Main lines, sorted by position (10 to 90 degrees two-theta):
2θ = 19.0°, d = 4.675 Å, intensity 10, hkl 0 2 0; 2θ = 20.3°, d = 4.377 Å, intensity 8, hkl 0 1 1; 2θ = 31.1°, d = 2.874 Å, intensity 100, hkl 1 2 1; 2θ = 33.3°, d = 2.691 Å, intensity 12, hkl 2 0 0; 2θ = 38.5°, d = 2.337 Å, intensity 16, hkl 0 4 0; 2θ = 41.3°, d = 2.187 Å, intensity 10, hkl 1 1 2; 2θ = 50.0°, d = 1.823 Å, intensity 18, hkl 2 0 2; 2θ = 51.8°, d = 1.765 Å, intensity 15, hkl 2 4 0; 2θ = 53.9°, d = 1.700 Å, intensity 11, hkl 0 4 2; 2θ = 58.1°, d = 1.587 Å, intensity 11, hkl 3 2 1; 2θ = 62.1°, d = 1.495 Å, intensity 10, hkl 1 2 3; 2θ = 65.1°, d = 1.433 Å, intensity 11, hkl 1 6 1



No. 6
This entry pairs a crystal structure of CuMoF6 with its calculated powder XRD pattern. Radiation: Cu Kα, 1.54184 Å. Structure: a structure optimized by DFT (GGA+U).
Intensities are scaled so that the largest is 100.

```
data_CuMoF6
_chemical_formula_sum 'Cu3 Mo3 F18'
_cell_length_a 5.2243
_cell_length_b 5.2243
_cell_length_c 14.0857
_cell_angle_alpha 90.00
_cell_angle_beta 90.00
_cell_angle_gamma 120.00
_space_group_name_H-M_alt 'R -3'
_space_group_IT_number 148
_space_group_name_Hall '-R 3'
loop_
_atom_site_label
_atom_site_type_symbol
_atom_site_fract_x
_atom_site_fract_y
_atom_site_fract_z
Cu1 Cu 0.0000 0.0000 0.0000
Mo1 Mo 0.0000 0.0000 0.5000
F1 F 0.0060 0.3729 0.2474
```

Main lines, sorted by position (10 to 90 degrees two-theta):
2θ = 23.4°, d = 3.807 Å, intensity 100, hkl 0 1 2; 2θ = 32.2°, d = 2.779 Å, intensity 31, hkl 1 0 4; 2θ = 34.3°, d = 2.612 Å, intensity 13, hkl 1 1 0; 2θ = 39.5°, d = 2.283 Å, intensity 14, hkl 2 -1 3; 2θ = 41.9°, d = 2.154 Å, intensity 11, hkl 2 0 2; 2θ = 47.8°, d = 1.903 Å, intensity 17, hkl 0 2 4; 2θ = 52.4°, d = 1.746 Å, intensity 30, hkl 2 -1 6; 2θ = 55.3°, d = 1.662 Å, intensity 15, hkl 3 -2 2; 2θ = 56.0°, d = 1.641 Å, intensity 6, hkl 0 1 8; 2θ = 60.2°, d = 1.538 Å, intensity 11, hkl 3 -1 4; 2θ = 61.5°, d = 1.508 Å, intensity 12, hkl 3 0 0; 2θ = 77.2°, d = 1.235 Å, intensity 7, hkl 3 1 2